Record 1
This entry pairs a crystal structure of ErCd10Ag2 with its calculated XRD peak list. Radiation: λ = 1.5418 Å (Cu Kα). Structure: the GGA-PBE geometry in Alexandria.
No peak broadening, texture or thermal motion is included.

Cell lengths 5.787, 13.987, 14.102 Å; angles 90.00, 90.00, 90.00 degrees
Space group Fmmm (No. 69)
Inequivalent atoms, fractional coordinates:
Er (0.000, 0.000, 0.000) [4 per cell]
Cd (0.000, 0.107, 0.396) [16 per cell]
Cd (0.000, 0.177, 0.170) [16 per cell]
Cd (0.250, 0.000, 0.250) [8 per cell]
Ag (0.250, 0.250, 0.000) [8 per cell]

Most intense lines, 2θ from 15° to 90°, in order of rising 2θ:
hkl 2 0 0, 2θ = 30.9°, I 14
hkl 1 3 3, 2θ = 31.1°, I 41
hkl 2 2 2, 2θ = 36.0°, I 100
hkl 0 4 4, 2θ = 36.2°, I 94
hkl 2 0 4, 2θ = 40.3°, I 27
hkl 2 4 0, 2θ = 40.5°, I 43
hkl 0 6 2, 2θ = 40.8°, I 12
hkl 3 1 5, 2θ = 58.3°, I 9
hkl 3 5 1, 2θ = 58.5°, I 11
hkl 4 0 0, 2θ = 64.4°, I 10
hkl 2 6 6, 2θ = 64.9°, I 35
hkl 4 4 4, 2θ = 76.2°, I 11

Record 2
This entry pairs a crystal structure of ErCd2Ag3 with its calculated XRD peak list. Radiation: λ = 1.5418 Å (Cu Kα). Structure: the GGA-PBE geometry in Alexandria.
No peak broadening, texture or thermal motion is included.

Cell lengths 5.716, 9.026, 20.094 Å; angles 90.00, 90.00, 90.00 degrees
Space group Fmmm (No. 69)
Inequivalent atoms, fractional coordinates:
Er (0.000, 0.000, 0.146) [8 per cell]
Cd (0.240, 0.000, 0.000) [8 per cell]
Cd (0.250, 0.250, 0.250) [8 per cell]
Ag (0.000, 0.000, 0.296) [8 per cell]
Ag (0.000, 0.192, 0.409) [16 per cell]

Most intense lines, 2θ from 15° to 90°, in order of rising 2θ:
hkl 2 0 0, 2θ = 31.3°, I 16
hkl 0 2 6, 2θ = 33.3°, I 100
hkl 1 3 1, 2θ = 34.0°, I 40
hkl 2 0 4, 2θ = 36.2°, I 65
hkl 1 1 7, 2θ = 36.4°, I 63
hkl 2 2 2, 2θ = 38.3°, I 92
hkl 0 4 0, 2θ = 40.0°, I 31
hkl 1 3 5, 2θ = 40.7°, I 41
hkl 2 4 4, 2θ = 55.0°, I 20
hkl 2 2 10, 2θ = 59.9°, I 23
hkl 1 5 7, 2θ = 63.0°, I 18
hkl 4 2 6, 2θ = 75.3°, I 17

Record 3
This entry pairs a crystal structure of ErCd6Ag6 with its calculated XRD peak list. Radiation: λ = 1.5418 Å (Cu Kα). Structure: the GGA-PBE geometry in Alexandria.
No peak broadening, texture or thermal motion is included.

Cell lengths 5.6716, 5.6716, 9.7271 Å; angles 90.00, 90.00, 120.00 degrees
Space group P6/mmm (No. 191)
Inequivalent atoms, fractional coordinates:
Er (0.0000, 0.0000, 0.0000) [1 per cell]
Cd (0.0000, 0.0000, 0.3467) [2 per cell]
Cd (0.3333, 0.6667, 0.0000) [2 per cell]
Cd (0.3333, 0.6667, 0.5000) [2 per cell]
Ag (0.0000, 0.5000, 0.2453) [6 per cell]

Most intense lines, 2θ from 15° to 90°, in order of rising 2θ:
hkl 1 1 0, 2θ = 31.5°, I 31
hkl 1 0 3, 2θ = 33.1°, I 23
hkl 2 0 0, 2θ = 36.6°, I 100
hkl 0 0 4, 2θ = 37.0°, I 22
hkl 2 0 2, 2θ = 41.2°, I 51
hkl 1 0 4, 2θ = 41.4°, I 16
hkl 1 1 3, 2θ = 42.3°, I 12
hkl 3 0 2, 2θ = 59.6°, I 15
hkl 2 2 0, 2θ = 65.9°, I 21
hkl 1 1 6, 2θ = 66.4°, I 19
hkl 2 2 4, 2θ = 78.0°, I 14
hkl 3 0 6, 2θ = 84.0°, I 10

Record 4
This entry pairs a crystal structure of ErCd2Ag with its calculated XRD peak list. Radiation: λ = 1.5418 Å (Cu Kα). Structure: the GGA-PBE geometry in Alexandria.
No peak broadening, texture or thermal motion is included.

Cell lengths 7.034, 7.034, 7.034 Å; angles 90.00, 90.00, 90.00 degrees
Space group Fm-3m (No. 225)
Inequivalent atoms, fractional coordinates:
Er (0.000, 0.000, 0.000) [4 per cell]
Cd (0.250, 0.250, 0.250) [8 per cell]
Ag (0.000, 0.000, 0.500) [4 per cell]

Most intense lines, 2θ from 15° to 90°, in order of rising 2θ:
hkl 1 1 1, 2θ = 21.9°, I 2
hkl 2 0 0, 2θ = 25.3°, I 1
hkl 2 2 0, 2θ = 36.1°, I 100
hkl 3 1 1, 2θ = 42.6°, I 1
hkl 4 0 0, 2θ = 52.0°, I 17
hkl 3 3 1, 2θ = 57.1°, I 1
hkl 4 2 0, 2θ = 58.7°, I 1
hkl 4 2 2, 2θ = 64.9°, I 34
hkl 5 1 1, 2θ = 69.4°, I 1
hkl 4 4 0, 2θ = 76.6°, I 11
hkl 5 3 1, 2θ = 80.8°, I 1
hkl 6 2 0, 2θ = 87.8°, I 15